# 1
Structure and simulated powder X-ray diffraction pattern of BaAg2OsSeS3 (DFT lattice parameters and positions (GGA-PBE); CuKα).
Peak positions follow from Bragg's law for the DFT cell and can differ from measured ones.

Structure:
Unit cell a=6.296 b=6.323 c=6.411 alpha=101.66 beta=111.16 gamma=115.14
Space group P1 (No. 1)
Symmetry-distinct sites (fractional):
Ba 0.000 0.000 0.000 x1
Ag 0.471 0.164 0.670 x1
Ag 0.476 0.778 0.320 x1
Os 0.022 0.548 0.495 x1
Se 0.983 0.164 0.524 x1
S 0.384 0.852 0.862 x1
S 0.634 0.468 0.479 x1
S 0.971 0.513 0.122 x1

Principal peaks in the range 10 to 90 degrees two-theta, most intense first:
index	Position (°2θ)	I_rel
2 0 0	36.49	1000
1 0 -2	28.47	666
1 -1 1	24.80	661
-2 1 1	28.97	613
1 -2 0	28.84	584
0 1 1	28.36	558
0 0 1	16.34	508
1 1 -1	26.34	486
2 -3 1	46.60	352
1 0 2	45.63	328

=====

# 2
Structure and simulated powder X-ray diffraction pattern of BaSrAg2P2 (DFT lattice parameters and positions (GGA-PBE); CuKα).
Peak positions follow from Bragg's law for the DFT cell and can differ from measured ones.

Structure:
Unit cell a=4.4810 b=4.4810 c=8.6614 alpha=90.00 beta=90.00 gamma=120.00
Space group P3m1 (No. 156)
Symmetry-distinct sites (fractional):
Ba 0.0000 0.0000 0.0000 x1
Sr 0.0000 0.0000 0.4998 x1
Ag 0.3333 0.6667 0.2671 x1
Ag 0.6667 0.3333 0.7333 x1
P 0.3333 0.6667 0.7366 x1
P 0.6667 0.3333 0.2598 x1

Principal peaks in the range 10 to 90 degrees two-theta, most intense first:
index	Position (°2θ)	I_rel
1 0 2	30.94	1000
1 1 0	40.25	460
0 1 1	25.15	286
1 1 4	59.36	258
0 2 2	51.62	251
2 1 2	67.41	199
0 0 4	41.71	127
3 0 0	73.18	91
3 0 4	87.93	89
1 0 6	69.47	85

=====

# 3
Structure and simulated powder X-ray diffraction pattern of BaAg2PdSe3S (DFT lattice parameters and positions (GGA-PBE); CuKα).
Peak positions follow from Bragg's law for the DFT cell and can differ from measured ones.

Structure:
Unit cell a=6.076 b=6.345 c=6.628 alpha=100.53 beta=106.87 gamma=118.11
Space group P1 (No. 1)
Symmetry-distinct sites (fractional):
Ba 0.000 0.000 0.000 x1
Ag 0.471 0.142 0.677 x1
Ag 0.471 0.784 0.293 x1
Pd 0.088 0.580 0.510 x1
Se 0.621 0.477 0.477 x1
Se 0.930 0.485 0.100 x1
Se 0.996 0.156 0.530 x1
S 0.388 0.845 0.893 x1

Principal peaks in the range 10 to 90 degrees two-theta, most intense first:
index	Position (°2θ)	I_rel
-2 1 1	29.97	1000
1 0 -2	27.91	891
1 -2 0	28.62	713
0 1 1	26.92	598
0 2 -2	36.56	536
2 0 0	37.25	486
2 -2 2	48.29	351
1 -1 1	23.60	336
0 1 -3	42.77	272
1 2 -1	43.36	265

=====

# 4
Structure and simulated powder X-ray diffraction pattern of Ba2AgSb2Pd (DFT lattice parameters and positions (GGA-PBE); CuKα).
Peak positions follow from Bragg's law for the DFT cell and can differ from measured ones.

Structure:
Unit cell a=4.7306 b=4.7306 c=9.6893 alpha=90.00 beta=90.00 gamma=120.00
Space group P-6m2 (No. 187)
Symmetry-distinct sites (fractional):
Ba 0.0000 0.0000 0.2421 x2
Ag 0.3333 0.6667 0.5000 x1
Sb 0.3333 0.6667 0.0000 x1
Sb 0.6667 0.3333 0.5000 x1
Pd 0.6667 0.3333 0.0000 x1

Principal peaks in the range 10 to 90 degrees two-theta, most intense first:
index	Position (°2θ)	I_rel
1 0 2	28.53	1000
1 1 0	38.04	498
1 1 4	54.20	345
2 0 2	48.23	230
2 1 2	63.02	205
0 0 4	37.11	176
3 0 4	80.79	108
1 0 6	61.75	105
3 0 0	68.74	85
3 1 2	88.36	84

=====

# 5
Structure and simulated powder X-ray diffraction pattern of Ba3PrAg4 (DFT lattice parameters and positions (GGA-PBE); CuKα).
Peak positions follow from Bragg's law for the DFT cell and can differ from measured ones.

Structure:
Unit cell a=6.393 b=5.073 c=8.179 alpha=90.00 beta=92.60 gamma=90.00
Space group Pm (No. 6)
Symmetry-distinct sites (fractional):
Ba 0.000 0.000 0.000 x1
Ba 0.225 0.000 0.495 x1
Ba 0.501 0.500 0.864 x1
Pr 0.725 0.500 0.357 x1
Ag 0.237 0.500 0.224 x1
Ag 0.517 0.000 0.168 x1
Ag 0.735 0.000 0.612 x1
Ag 0.974 0.500 0.700 x1

Principal peaks in the range 10 to 90 degrees two-theta, most intense first:
index	Position (°2θ)	I_rel
0 2 0	35.39	1000
0 1 2	28.04	722
1 1 2	31.86	514
2 1 -1	34.56	484
1 1 -2	30.95	404
2 0 -1	29.57	364
1 2 -3	50.79	247
1 0 4	47.38	236
2 0 1	30.52	220
2 2 -1	46.76	202

=====

# 6
Structure and simulated powder X-ray diffraction pattern of BaPuAg2Se2S2 (DFT lattice parameters and positions (GGA-PBE); CuKα).
Peak positions follow from Bragg's law for the DFT cell and can differ from measured ones.

Structure:
Unit cell a=9.974 b=8.390 c=6.948 alpha=90.00 beta=132.16 gamma=90.00
Space group C2 (No. 5)
Symmetry-distinct sites (fractional):
Ba 0.000 0.000 0.000 x2
Pu 0.000 0.485 0.000 x2
Ag 0.000 0.337 0.500 x2
Ag 0.000 0.699 0.500 x2
Se 0.219 0.699 0.001 x4
S 0.213 0.318 0.432 x4

Principal peaks in the range 10 to 90 degrees two-theta, most intense first:
index	Position (°2θ)	I_rel
2 2 -1	27.81	1000
0 2 1	27.42	553
0 0 2	34.84	491
1 1 0	15.98	455
4 0 -2	36.09	417
0 4 1	46.79	332
2 2 0	32.28	298
2 2 1	44.20	297
2 0 0	24.07	288
2 2 -2	33.50	269

=====

# 7
Structure and simulated powder X-ray diffraction pattern of Ba2AgS (DFT lattice parameters and positions (GGA-PBE); CuKα).
Peak positions follow from Bragg's law for the DFT cell and can differ from measured ones.

Structure:
Unit cell a=4.577 b=8.271 c=7.810 alpha=90.00 beta=90.00 gamma=90.00
Space group Pmc2_1 (No. 26)
Symmetry-distinct sites (fractional):
Ba 0.000 0.142 0.000 x2
Ba 0.500 0.303 0.499 x2
Ag 0.000 0.499 0.749 x2
S 0.500 0.001 0.750 x2

Principal peaks in the range 10 to 90 degrees two-theta, most intense first:
index	Position (°2θ)	I_rel
1 1 1	24.99	1000
1 1 2	32.01	760
0 2 1	24.35	455
1 3 0	38.10	444
0 2 2	31.51	415
1 3 4	61.63	261
1 1 3	41.36	259
2 0 0	39.37	242
2 2 2	51.27	201
1 2 0	29.10	157